(1)
Starting from a DFT-relaxed cell (GGA-PBE, the Materials Project), the powder diffractogram of ThCl4 was calculated for Cu Ka.

The 6 most intense peaks (2θ from 10° to 90°), by angle:
(1 0 1), 15.47 deg, d 5.728, intensity 100; (2 0 0), 20.75 deg, d 4.280, intensity 64; (1 1 2), 27.43 deg, d 3.251, intensity 38; (3 0 1), 33.49 deg, d 2.676, intensity 39; (3 2 1), 39.73 deg, d 2.269, intensity 34; (3 1 2), 40.73 deg, d 2.215, intensity 47

Cell and atoms:
```
data_ThCl4
_chemical_formula_sum 'Th4 Cl16'
_cell_length_a 8.560
_cell_length_b 8.560
_cell_length_c 7.709
_cell_angle_alpha 90.00
_cell_angle_beta 90.00
_cell_angle_gamma 90.00
_space_group_name_H-M_alt 'I 41/a m d'
_space_group_IT_number 141
loop_
_space_group_symop_operation_xyz
'x,y,z'
'-x,-y,-z'
'-y+1/4,x+3/4,z+1/4'
'y+1/4,-x+3/4,-z+1/4'
'-x+1/2,-y,z+1/2'
'x+1/2,y,-z+1/2'
'y+1/4,-x+1/4,z+3/4'
'-y+1/4,x+1/4,-z+3/4'
'x,-y,-z'
'-x,y,z'
'-y+1/4,-x+1/4,-z+3/4'
'y+1/4,x+1/4,z+3/4'
'-x+1/2,y,-z+1/2'
'x+1/2,-y,z+1/2'
'y+1/4,x+3/4,-z+1/4'
'-y+1/4,-x+3/4,z+1/4'
'x+1/2,y+1/2,z+1/2'
'-x+1/2,-y+1/2,-z+1/2'
'-y+3/4,x+1/4,z+3/4'
'y+3/4,-x+1/4,-z+3/4'
'-x,-y+1/2,z'
'x,y+1/2,-z'
'y+3/4,-x+3/4,z+1/4'
'-y+3/4,x+3/4,-z+1/4'
'x+1/2,-y+1/2,-z+1/2'
'-x+1/2,y+1/2,z+1/2'
'-y+3/4,-x+3/4,-z+1/4'
'y+3/4,x+3/4,z+1/4'
'-x,y+1/2,-z'
'x,-y+1/2,z'
'y+3/4,x+1/4,-z+3/4'
'-y+3/4,-x+1/4,z+3/4'
loop_
_atom_site_label
_atom_site_type_symbol
_atom_site_fract_x
_atom_site_fract_y
_atom_site_fract_z
Th1 Th 0.000 0.250 0.375
Cl1 Cl 0.000 0.063 0.695
```

(2)
Starting from a DFT-relaxed cell (GGA-PBE, the Materials Project), the powder diffractogram of TiCl4 was calculated for Cu Ka.

The 6 most intense peaks (2θ from 10° to 90°), by angle:
(0 1 1), 14.96 deg, d 5.922, intensity 100; (1 1 -1), 16.29 deg, d 5.440, intensity 60; (2 0 0), 16.88 deg, d 5.252, intensity 66; (2 1 -2), 24.67 deg, d 3.609, intensity 81; (2 0 2), 26.37 deg, d 3.379, intensity 65; (1 1 -3), 28.03 deg, d 3.184, intensity 96

Cell and atoms:
```
data_TiCl4
_chemical_formula_sum 'Ti4 Cl16'
_cell_length_a 10.740
_cell_length_b 7.168
_cell_length_c 10.751
_cell_angle_alpha 90.00
_cell_angle_beta 102.05
_cell_angle_gamma 90.00
_space_group_name_H-M_alt 'P 1 21/c 1'
_space_group_IT_number 14
loop_
_space_group_symop_operation_xyz
'x,y,z'
'-x,-y,-z'
'-x,y+1/2,-z+1/2'
'x,-y+1/2,z+1/2'
loop_
_atom_site_label
_atom_site_type_symbol
_atom_site_fract_x
_atom_site_fract_y
_atom_site_fract_z
Ti1 Ti 0.249 0.077 0.366
Cl1 Cl 0.085 0.075 0.207
Cl2 Cl 0.198 0.566 0.028
Cl3 Cl 0.305 0.136 0.918
Cl4 Cl 0.407 0.569 0.810
```